For Hf2Ag3F14, a crystal structure in Alexandria, relaxed with PBE gives the simulated PXRD pattern in this record (λ = 1.5418 Å (Cu Kα)).
Lines closer than 0.1° are merged.

Structure:
```
data_Hf2Ag3F14
_cell_length_a 9.4783
_cell_length_b 6.7992
_cell_length_c 9.2481
_cell_angle_alpha 90.00
_cell_angle_beta 91.37
_cell_angle_gamma 90.00
_symmetry_space_group_name_H-M 'C 1 2/m 1'
_symmetry_Int_Tables_number 12
_symmetry_space_group_name_Hall '-C 2y'
loop_
_atom_site_label
_atom_site_type_symbol
_atom_site_fract_x
_atom_site_fract_y
_atom_site_fract_z
Hf1 Hf 0.0891 0.0000 0.2150
Ag1 Ag 0.0000 0.5000 0.0000
Ag2 Ag 0.1871 0.5000 0.3954
F1 F 0.0000 0.0000 0.0000
F2 F 0.0000 0.5000 0.5000
F3 F 0.0597 0.2940 0.1629
F4 F 0.1107 0.0000 0.7085
F5 F 0.1689 0.1764 0.3849
F6 F 0.2291 0.5000 0.8781
```

Largest 10 diffraction maxima, low angle first, 5 to 70 degrees two-theta:
| 2theta | d_spacing | I_rel | hkl |
| --- | --- | --- | --- |
| 20.86 | 4.258 | 902 | 2 0 -1 |
| 25.29 | 3.521 | 1000 | 1 1 2 |
| 26.21 | 3.400 | 429 | 0 2 0 |
| 32.93 | 2.720 | 271 | 3 1 1 |
| 33.09 | 2.707 | 243 | 1 1 -3 |
| 33.74 | 2.657 | 224 | 2 2 -1 |
| 42.46 | 2.129 | 184 | 4 0 -2 |
| 44.00 | 2.058 | 157 | 2 0 4 |
| 45.70 | 1.985 | 295 | 1 3 2 |
| 50.64 | 1.803 | 247 | 3 3 1 |